The following is a simulated XRD peak list of Na8ZnAu2. It was derived from a DFT-relaxed cell (GGA-PBE, Alexandria), using a wavelength of 1.5418 Å.
Kinematic intensities with the Lorentz-polarization factor, no thermal factor.

The 8 most intense peaks (15 to 90 degrees two-theta), sorted by position:
- 21.08 deg, rel. 78
- 21.22 deg, rel. 63
- 21.98 deg, rel. 30
- 25.63 deg, rel. 30
- 32.40 deg, rel. 26
- 34.01 deg, rel. 100
- 36.39 deg, rel. 25
- 38.07 deg, rel. 33

Crystal structure
Unit cell a=8.7379 b=8.7379 c=8.7379 alpha=147.18 beta=124.87 gamma=65.66
Positions (direct):
Na 0.1219 0.3413 0.7805
Na 0.1547 0.1547 0.0000
Na 0.3079 0.0000 0.3079
Na 0.4392 0.6587 0.7805
Na 0.5608 0.3413 0.2195
Na 0.6921 0.0000 0.6921
Na 0.8453 0.8453 0.0000
Na 0.8781 0.6587 0.2195
Zn 0.0000 0.5000 0.5000
Au 0.3089 0.8089 0.5000
Au 0.6911 0.1911 0.5000


The following is a simulated XRD peak list of Na2Zn6Au. It was derived from a DFT-relaxed cell (GGA-PBE, Alexandria), using a wavelength of 1.5418 Å.
Kinematic intensities with the Lorentz-polarization factor, no thermal factor.

The 8 most intense peaks (15 to 90 degrees two-theta), sorted by position:
- 18.32 deg, rel. 50
- 19.19 deg, rel. 86
- 23.26 deg, rel. 57
- 34.16 deg, rel. 53
- 40.55 deg, rel. 50
- 41.03 deg, rel. 100
- 41.64 deg, rel. 43
- 49.00 deg, rel. 48

Crystal structure
Unit cell a=5.5206 b=5.5206 c=6.5202 alpha=93.14 beta=93.14 gamma=56.95
Positions (direct):
Na 0.1674 0.1674 0.1018
Na 0.8326 0.8326 0.8982
Zn 0.1632 0.6747 0.3293
Zn 0.3194 0.3194 0.6466
Zn 0.3253 0.8368 0.6707
Zn 0.6747 0.1632 0.3293
Zn 0.6806 0.6806 0.3534
Zn 0.8368 0.3253 0.6707
Au 0.5000 0.5000 0.0000


The following is a simulated XRD peak list of Na2Zn5Au4. It was derived from a DFT-relaxed cell (GGA-PBE, Alexandria), using a wavelength of 1.5418 Å.
Kinematic intensities with the Lorentz-polarization factor, no thermal factor.

The 8 most intense peaks (15 to 90 degrees two-theta), sorted by position:
- 18.95 deg, rel. 66
- 19.49 deg, rel. 100
- 33.46 deg, rel. 64
- 36.71 deg, rel. 94
- 39.11 deg, rel. 90
- 42.37 deg, rel. 45
- 42.58 deg, rel. 46
- 43.80 deg, rel. 52

Crystal structure
Unit cell a=9.7334 b=8.9608 c=5.4242 alpha=81.14 beta=65.45 gamma=33.41
Positions (direct):
Na 0.1390 0.1390 0.8610
Na 0.8610 0.8610 0.1390
Zn 0.0000 0.0000 0.5000
Zn 0.2500 0.2500 0.2500
Zn 0.5000 0.5000 0.0000
Zn 0.5000 0.5000 0.5000
Zn 0.7500 0.7500 0.7500
Au 0.2108 0.5342 0.4658
Au 0.4658 0.7892 0.2108
Au 0.5342 0.2108 0.7892
Au 0.7892 0.4658 0.5342


The following is a simulated XRD peak list of Na2Zn2Au. It was derived from a DFT-relaxed cell (GGA-PBE, Alexandria), using a wavelength of 1.5418 Å.
Kinematic intensities with the Lorentz-polarization factor, no thermal factor.

The 8 most intense peaks (15 to 90 degrees two-theta), sorted by position:
- 20.59 deg, rel. 91
- 26.24 deg, rel. 100
- 35.23 deg, rel. 90
- 36.33 deg, rel. 33
- 41.31 deg, rel. 48
- 44.57 deg, rel. 56
- 49.60 deg, rel. 36
- 56.19 deg, rel. 27

Crystal structure
Unit cell a=13.8437 b=13.8437 c=13.8437 alpha=161.84 beta=161.84 gamma=25.80
Positions (direct):
Na 0.0476 0.2976 0.7500
Na 0.2976 0.0476 0.2500
Na 0.7024 0.9524 0.7500
Na 0.9524 0.7024 0.2500
Zn 0.1773 0.4273 0.7500
Zn 0.4273 0.1773 0.2500
Zn 0.5727 0.8227 0.7500
Zn 0.8227 0.5727 0.2500
Au 0.3750 0.6250 0.7500
Au 0.6250 0.3750 0.2500


The following is a simulated XRD peak list of Na2Zn2Au3. It was derived from a DFT-relaxed cell (GGA-PBE, Alexandria), using a wavelength of 1.5418 Å.
Kinematic intensities with the Lorentz-polarization factor, no thermal factor.

The 8 most intense peaks (15 to 90 degrees two-theta), sorted by position:
- 16.53 deg, rel. 100
- 25.26 deg, rel. 21
- 37.67 deg, rel. 19
- 39.12 deg, rel. 38
- 39.93 deg, rel. 20
- 40.44 deg, rel. 27
- 43.49 deg, rel. 18
- 44.94 deg, rel. 15

Crystal structure
Unit cell a=13.5606 b=4.5161 c=5.6686 alpha=90.00 beta=108.92 gamma=90.00
Positions (direct):
Na 0.1410 0.0000 0.0496
Na 0.3590 0.5000 0.9504
Na 0.6410 0.5000 0.0496
Na 0.8590 0.0000 0.9504
Zn 0.1066 0.5000 0.5281
Zn 0.3934 0.0000 0.4719
Zn 0.6066 0.0000 0.5281
Zn 0.8934 0.5000 0.4719
Au 0.0000 0.0000 0.5000
Au 0.2168 0.0000 0.6022
Au 0.2832 0.5000 0.3978
Au 0.5000 0.5000 0.5000
Au 0.7168 0.5000 0.6022
Au 0.7832 0.0000 0.3978


The following is a simulated XRD peak list of NaZn2Au5. It was derived from a DFT-relaxed cell (GGA-PBE, Alexandria), using a wavelength of 1.5418 Å.
Kinematic intensities with the Lorentz-polarization factor, no thermal factor.

The 8 most intense peaks (15 to 90 degrees two-theta), sorted by position:
- 33.71 deg, rel. 88
- 34.70 deg, rel. 100
- 42.02 deg, rel. 75
- 42.21 deg, rel. 56
- 43.64 deg, rel. 33
- 44.02 deg, rel. 34
- 46.19 deg, rel. 33
- 64.35 deg, rel. 32

Crystal structure
Unit cell a=3.9306 b=7.7093 c=10.2978 alpha=90.00 beta=90.00 gamma=90.00
Positions (direct):
Na 0.0000 0.0000 0.0000
Na 0.5000 0.5000 0.5000
Zn 0.0000 0.5000 0.2564
Zn 0.0000 0.5000 0.7436
Zn 0.5000 0.0000 0.2436
Zn 0.5000 0.0000 0.7564
Au 0.0000 0.1994 0.3565
Au 0.0000 0.1994 0.6435
Au 0.0000 0.5000 0.0000
Au 0.0000 0.8006 0.3565
Au 0.0000 0.8006 0.6435
Au 0.5000 0.0000 0.5000
Au 0.5000 0.3006 0.1435
Au 0.5000 0.3006 0.8565
Au 0.5000 0.6994 0.1435
Au 0.5000 0.6994 0.8565


The following is a simulated XRD peak list of Nb3Au. It was derived from a DFT-relaxed cell (GGA-PBE, Alexandria), using a wavelength of 1.5418 Å.
Kinematic intensities with the Lorentz-polarization factor, no thermal factor.

The 8 most intense peaks (15 to 90 degrees two-theta), sorted by position:
- 19.96 deg, rel. 10
- 37.82 deg, rel. 100
- 40.56 deg, rel. 41
- 50.18 deg, rel. 11
- 58.70 deg, rel. 15
- 66.42 deg, rel. 20
- 71.98 deg, rel. 30
- 80.81 deg, rel. 11

Crystal structure
Unit cell a=4.4483 b=4.4483 c=3.6358 alpha=90.00 beta=90.00 gamma=90.00
Positions (direct):
Nb 0.0000 0.0000 0.0000
Nb 0.0000 0.5000 0.5000
Nb 0.5000 0.0000 0.5000
Au 0.5000 0.5000 0.0000


The following is a simulated XRD peak list of Nb3Au. It was derived from a DFT-relaxed cell (GGA-PBE, Alexandria), using a wavelength of 1.5418 Å.
Kinematic intensities with the Lorentz-polarization factor, no thermal factor.

The 8 most intense peaks (15 to 90 degrees two-theta), sorted by position:
- 23.96 deg, rel. 25
- 34.14 deg, rel. 45
- 38.32 deg, rel. 55
- 42.14 deg, rel. 100
- 66.62 deg, rel. 51
- 71.90 deg, rel. 14
- 82.04 deg, rel. 15
- 87.01 deg, rel. 13

Crystal structure
Unit cell a=5.2527 b=5.2527 c=5.2527 alpha=90.00 beta=90.00 gamma=90.00
Positions (direct):
Nb 0.0000 0.2500 0.5000
Nb 0.0000 0.7500 0.5000
Nb 0.2500 0.5000 0.0000
Nb 0.5000 0.0000 0.2500
Nb 0.5000 0.0000 0.7500
Nb 0.7500 0.5000 0.0000
Au 0.0000 0.0000 0.0000
Au 0.5000 0.5000 0.5000


The following is a simulated XRD peak list of Nb5Au2. It was derived from a DFT-relaxed cell (GGA-PBE, Alexandria), using a wavelength of 1.5418 Å.
Kinematic intensities with the Lorentz-polarization factor, no thermal factor.

The 8 most intense peaks (15 to 90 degrees two-theta), sorted by position:
- 37.56 deg, rel. 55
- 38.93 deg, rel. 100
- 54.16 deg, rel. 19
- 58.26 deg, rel. 8
- 68.69 deg, rel. 37
- 71.41 deg, rel. 16
- 80.15 deg, rel. 6
- 83.60 deg, rel. 11

Crystal structure
Unit cell a=3.3868 b=3.3868 c=22.1709 alpha=90.00 beta=90.00 gamma=90.00
Positions (direct):
Nb 0.0000 0.0000 0.0000
Nb 0.0000 0.0000 0.1435
Nb 0.0000 0.0000 0.4258
Nb 0.0000 0.0000 0.5742
Nb 0.0000 0.0000 0.8565
Nb 0.5000 0.5000 0.0742
Nb 0.5000 0.5000 0.3565
Nb 0.5000 0.5000 0.5000
Nb 0.5000 0.5000 0.6435
Nb 0.5000 0.5000 0.9258
Au 0.0000 0.0000 0.2863
Au 0.0000 0.0000 0.7137
Au 0.5000 0.5000 0.2137
Au 0.5000 0.5000 0.7863


The following is a simulated XRD peak list of Nb4Au. It was derived from a DFT-relaxed cell (GGA-PBE, Alexandria), using a wavelength of 1.5418 Å.
Kinematic intensities with the Lorentz-polarization factor, no thermal factor.

The 8 most intense peaks (15 to 90 degrees two-theta), sorted by position:
- 37.66 deg, rel. 52
- 38.06 deg, rel. 100
- 38.79 deg, rel. 94
- 39.74 deg, rel. 45
- 55.90 deg, rel. 33
- 68.24 deg, rel. 18
- 68.61 deg, rel. 17
- 68.73 deg, rel. 17

Crystal structure
Unit cell a=2.7824 b=4.7774 c=7.2442 alpha=109.18 beta=95.79 gamma=90.01
Positions (direct):
Nb 0.0719 0.3997 0.2992
Nb 0.3167 0.2057 0.9115
Nb 0.6833 0.7943 0.0885
Nb 0.9281 0.6003 0.7008
Au 0.5000 0.0000 0.5000


The following is a simulated XRD peak list of Nb3Au. It was derived from a DFT-relaxed cell (GGA-PBE, Alexandria), using a wavelength of 1.5418 Å.
Kinematic intensities with the Lorentz-polarization factor, no thermal factor.

The 8 most intense peaks (15 to 90 degrees two-theta), sorted by position:
- 23.97 deg, rel. 13
- 37.37 deg, rel. 100
- 42.44 deg, rel. 17
- 43.91 deg, rel. 32
- 62.71 deg, rel. 22
- 74.29 deg, rel. 13
- 76.38 deg, rel. 24
- 79.70 deg, rel. 11

Crystal structure
Unit cell a=4.1237 b=4.1237 c=8.5202 alpha=90.00 beta=90.00 gamma=90.00
Positions (direct):
Nb 0.0000 0.0000 0.0000
Nb 0.0000 0.5000 0.2500
Nb 0.0000 0.5000 0.7500
Nb 0.5000 0.0000 0.2500
Nb 0.5000 0.0000 0.7500
Nb 0.5000 0.5000 0.5000
Au 0.0000 0.0000 0.5000
Au 0.5000 0.5000 0.0000


The following is a simulated XRD peak list of Nb2SiNiAu. It was derived from a DFT-relaxed cell (GGA-PBE, Alexandria), using a wavelength of 1.5418 Å.
Kinematic intensities with the Lorentz-polarization factor, no thermal factor.

The 8 most intense peaks (15 to 90 degrees two-theta), sorted by position:
- 28.81 deg, rel. 72
- 34.73 deg, rel. 100
- 38.50 deg, rel. 71
- 43.77 deg, rel. 24
- 48.79 deg, rel. 34
- 55.58 deg, rel. 24
- 59.68 deg, rel. 38
- 67.22 deg, rel. 29

Crystal structure
Unit cell a=4.6770 b=4.6770 c=4.1365 alpha=90.00 beta=90.00 gamma=90.00
Positions (direct):
Nb 0.0000 0.5000 0.0000
Nb 0.5000 0.0000 0.0000
Si 0.0000 0.0000 0.5000
Ni 0.0000 0.0000 0.0000
Au 0.5000 0.5000 0.5000


The following is a simulated XRD peak list of PaNbAuO6. It was derived from a DFT-relaxed cell (GGA-PBE, Alexandria), using a wavelength of 1.5418 Å.
Kinematic intensities with the Lorentz-polarization factor, no thermal factor.

The 8 most intense peaks (15 to 90 degrees two-theta), sorted by position:
- 20.47 deg, rel. 15
- 26.46 deg, rel. 100
- 31.56 deg, rel. 55
- 41.64 deg, rel. 30
- 50.93 deg, rel. 41
- 53.17 deg, rel. 30
- 56.20 deg, rel. 17
- 72.32 deg, rel. 19

Crystal structure
Unit cell a=5.6701 b=5.6701 c=9.2602 alpha=90.00 beta=90.00 gamma=120.00
Positions (direct):
Pa 0.3333 0.6667 0.2500
Pa 0.6667 0.3333 0.7500
Nb 0.3333 0.6667 0.7500
Nb 0.6667 0.3333 0.2500
Au 0.0000 0.0000 0.0000
Au 0.0000 0.0000 0.5000
O 0.0209 0.3711 0.6356
O 0.0209 0.6498 0.8644
O 0.3502 0.3711 0.8644
O 0.3502 0.9791 0.6356
O 0.3711 0.0209 0.1356
O 0.3711 0.3502 0.3644
O 0.6289 0.6498 0.6356
O 0.6289 0.9791 0.8644
O 0.6498 0.0209 0.3644
O 0.6498 0.6289 0.1356
O 0.9791 0.3502 0.1356
O 0.9791 0.6289 0.3644


The following is a simulated XRD peak list of NbPd8Au2. It was derived from a DFT-relaxed cell (GGA-PBE, Alexandria), using a wavelength of 1.5418 Å.
Kinematic intensities with the Lorentz-polarization factor, no thermal factor.

The 8 most intense peaks (15 to 90 degrees two-theta), sorted by position:
- 39.30 deg, rel. 100
- 40.26 deg, rel. 86
- 41.45 deg, rel. 34
- 42.73 deg, rel. 40
- 53.86 deg, rel. 21
- 61.05 deg, rel. 22
- 71.08 deg, rel. 18
- 82.44 deg, rel. 23

Crystal structure
Unit cell a=6.8124 b=6.8124 c=4.2320 alpha=90.00 beta=90.00 gamma=106.39
Positions (direct):
Nb 0.0000 0.0000 0.0000
Pd 0.0380 0.2952 0.5000
Pd 0.2348 0.7652 0.0000
Pd 0.2952 0.0380 0.5000
Pd 0.3250 0.3250 0.0000
Pd 0.6750 0.6750 0.0000
Pd 0.7048 0.9620 0.5000
Pd 0.7652 0.2348 0.0000
Pd 0.9620 0.7048 0.5000
Au 0.3762 0.6238 0.5000
Au 0.6238 0.3762 0.5000